[1]
# VC8N6
Computed X-ray powder pattern, Cu Ka. Input: a cell relaxed with GGA-PBE.
Neutral-atom scattering factors, no anomalous dispersion.

Atomic structure:
Lattice parameters (Å, degrees): 7.339 5.269 10.544 90.00 90.00 90.00
Positions (direct):
V (0.000, 0.000, 0.000)
V (0.500, 0.000, 0.500)
C (0.000, 0.385, 0.244)
C (0.000, 0.425, 0.663)
C (0.000, 0.575, 0.337)
C (0.000, 0.615, 0.756)
C (0.161, 0.314, 0.618)
C (0.161, 0.686, 0.382)
C (0.339, 0.314, 0.882)
C (0.339, 0.686, 0.118)
C (0.500, 0.385, 0.256)
C (0.500, 0.425, 0.837)
C (0.500, 0.575, 0.163)
C (0.500, 0.615, 0.744)
C (0.661, 0.314, 0.882)
C (0.661, 0.686, 0.118)
C (0.839, 0.314, 0.618)
C (0.839, 0.686, 0.382)
N (0.000, 0.232, 0.163)
N (0.000, 0.768, 0.837)
N (0.209, 0.212, 0.923)
N (0.209, 0.788, 0.077)
N (0.291, 0.212, 0.577)
N (0.291, 0.788, 0.423)
N (0.500, 0.232, 0.337)
N (0.500, 0.768, 0.663)
N (0.709, 0.212, 0.577)
N (0.709, 0.788, 0.423)
N (0.791, 0.212, 0.923)
N (0.791, 0.788, 0.077)

Principal peaks in the range 2θ from 5° to 70°, sorted by position:
(1 0 1), 2θ 14.7, rel. 59.8
(1 1 1), 2θ 22.4, rel. 100.0
(0 1 2), 2θ 23.9, rel. 54.4
(1 1 2), 2θ 26.8, rel. 25.9
(0 1 3), 2θ 30.6, rel. 41.3
(2 1 1), 2θ 30.9, rel. 33.2
(2 1 2), 2θ 34.3, rel. 27.5
(2 2 0), 2θ 42.2, rel. 22.7
(1 2 3), 2θ 44.7, rel. 20.7
(2 2 2), 2θ 45.8, rel. 18.8

---

[2]
# Mg5Si9
Computed X-ray powder pattern, Cu Ka. Input: a cell relaxed with GGA-PBE.
Neutral-atom scattering factors, no anomalous dispersion.

Atomic structure:
Lattice parameters (Å, degrees): 6.893 7.217 12.659 82.86 75.57 62.69
Positions (direct):
Mg (0.000, 0.000, 0.000)
Mg (0.001, 0.654, 0.177)
Mg (0.142, 0.840, 0.556)
Mg (0.150, 0.242, 0.827)
Mg (0.262, 0.548, 0.920)
Mg (0.352, 0.415, 0.343)
Mg (0.518, 0.012, 0.992)
Mg (0.653, 0.666, 0.815)
Mg (0.961, 0.507, 0.563)
Mg (0.985, 0.206, 0.398)
Si (0.007, 0.812, 0.383)
Si (0.066, 0.329, 0.047)
Si (0.089, 0.604, 0.731)
Si (0.222, 0.851, 0.758)
Si (0.251, 0.212, 0.197)
Si (0.272, 0.866, 0.235)
Si (0.345, 0.127, 0.503)
Si (0.410, 0.694, 0.060)
Si (0.417, 0.333, 0.615)
Si (0.532, 0.810, 0.605)
Si (0.596, 0.660, 0.307)
Si (0.598, 0.523, 0.493)
Si (0.634, 0.066, 0.738)
Si (0.645, 0.106, 0.174)
Si (0.645, 0.959, 0.352)
Si (0.690, 0.263, 0.875)
Si (0.690, 0.424, 0.149)
Si (0.923, 0.177, 0.694)

Principal peaks in the range 2θ from 5° to 70°, sorted by position:
(2 1 3), 2θ 30.1, rel. 55.8
(1 -1 3), 2θ 30.8, rel. 100.0
(1 2 -3), 2θ 35.7, rel. 59.2
(2 2 -2), 2θ 36.8, rel. 51.7
(2 2 4), 2θ 37.4, rel. 61.6
(1 3 0), 2θ 37.9, rel. 59.0
(1 3 2), 2θ 39.3, rel. 63.6
(-2 1 1), 2θ 40.5, rel. 81.9
(3 0 0), 2θ 45.5, rel. 49.8
(1 3 4), 2θ 45.9, rel. 53.9